# 1
The following is a simulated X-ray powder pattern of Rb2Pm2Br7. It was derived from a crystal structure in Alexandria, relaxed with PBE, using copper Kα.

Largest 10 diffraction maxima, in order of rising 2θ, 10° ≤ 2θ ≤ 80°:
- 2θ = 11.12°, intensity 37, hkl 0 0 1
- 2θ = 19.61°, intensity 38, hkl 0 2 1
- 2θ = 21.66°, intensity 64, hkl 2 0 1
- 2θ = 29.18°, intensity 18, hkl 2 0 2
- 2θ = 32.54°, intensity 36, hkl 0 4 0
- 2θ = 33.51°, intensity 100, hkl 2 2 2
- 2θ = 34.55°, intensity 24, hkl 1 3 2
- 2θ = 37.58°, intensity 34, hkl 4 0 0
- 2θ = 39.43°, intensity 20, hkl 2 4 1
- 2θ = 50.53°, intensity 20, hkl 4 4 0

Structural model:
Unit cell a=9.577 b=11.007 c=7.955 alpha=90.00 beta=90.00 gamma=90.00
Space group Cmmm (No. 65)
Inequivalent atoms, fractional coordinates:
Rb (0.234, 0.000, 0.000) x4
Pm (0.000, 0.279, 0.500) x4
Br (0.000, 0.000, 0.500) x2
Br (0.000, 0.500, 0.281) x4
Br (0.250, 0.250, 0.269) x8

***

# 2
The following is a simulated X-ray powder pattern of Pm8GePb3. It was derived from a crystal structure in Alexandria, relaxed with PBE, using copper Kα.

Largest 10 diffraction maxima, in order of rising 2θ, 10° ≤ 2θ ≤ 80°:
- 2θ = 20.72°, intensity 32, hkl 1 1 2
- 2θ = 23.97°, intensity 9, hkl 2 0 0
- 2θ = 34.15°, intensity 100, hkl 2 2 0
- 2θ = 40.28°, intensity 18, hkl 3 1 2
- 2θ = 48.96°, intensity 6, hkl 0 0 8
- 2θ = 49.13°, intensity 12, hkl 4 0 0
- 2θ = 53.81°, intensity 8, hkl 3 3 2
- 2θ = 61.07°, intensity 12, hkl 2 2 8
- 2θ = 61.17°, intensity 25, hkl 4 2 4
- 2θ = 71.88°, intensity 8, hkl 4 0 8

Structural model:
Unit cell a=7.418 b=7.418 c=14.883 alpha=90.00 beta=90.00 gamma=90.00
Space group I4/mmm (No. 139)
Inequivalent atoms, fractional coordinates:
Pm (0.243, 0.243, 0.121) x16
Ge (0.000, 0.000, 0.000) x2
Pb (0.000, 0.000, 0.500) x2
Pb (0.000, 0.500, 0.250) x4

***

# 3
The following is a simulated X-ray powder pattern of K4TeAs. It was derived from a crystal structure in Alexandria, relaxed with PBE, using copper Kα.

Largest 10 diffraction maxima, in order of rising 2θ, 10° ≤ 2θ ≤ 80°:
- 2θ = 16.13°, intensity 14, hkl 1 1 1
- 2θ = 26.50°, intensity 60, hkl 2 2 0
- 2θ = 31.18°, intensity 100, hkl 3 1 1
- 2θ = 32.60°, intensity 17, hkl 2 2 2
- 2θ = 46.77°, intensity 25, hkl 4 2 2
- 2θ = 49.80°, intensity 34, hkl 3 3 3
- 2θ = 54.56°, intensity 24, hkl 4 4 0
- 2θ = 64.19°, intensity 11, hkl 5 3 3
- 2θ = 74.65°, intensity 12, hkl 6 4 2
- 2θ = 76.98°, intensity 20, hkl 7 3 1

Structural model:
Unit cell a=9.515 b=9.515 c=9.515 alpha=90.00 beta=90.00 gamma=90.00
Space group F-43m (No. 216)
Inequivalent atoms, fractional coordinates:
K (0.125, 0.125, 0.125) x16
Te (0.250, 0.250, 0.750) x4
As (0.000, 0.000, 0.500) x4

***

# 4
The following is a simulated X-ray powder pattern of TmMgZr. It was derived from a crystal structure in Alexandria, relaxed with PBE, using copper Kα.

Largest 10 diffraction maxima, in order of rising 2θ, 10° ≤ 2θ ≤ 80°:
- 2θ = 21.96°, intensity 45, hkl 1 1 0
- 2θ = 27.54°, intensity 26, hkl 0 1 1
- 2θ = 33.15°, intensity 100, hkl 1 0 1
- 2θ = 33.36°, intensity 96, hkl 1 3 0
- 2θ = 37.39°, intensity 70, hkl 0 3 1
- 2θ = 40.90°, intensity 28, hkl 2 0 0
- 2θ = 56.61°, intensity 42, hkl 2 3 1
- 2θ = 64.65°, intensity 28, hkl 1 3 2
- 2θ = 65.03°, intensity 25, hkl 1 6 1
- 2θ = 69.59°, intensity 25, hkl 3 0 1

Structural model:
Unit cell a=4.413 b=10.155 c=3.417 alpha=90.00 beta=90.00 gamma=90.00
Space group Pmn2_1 (No. 31)
Inequivalent atoms, fractional coordinates:
Tm (0.000, 0.245, 0.000) x2
Mg (0.000, 0.578, 0.002) x2
Zr (0.000, 0.930, 0.000) x2